Calculated X-ray powder pattern of Zn3Fe3As4O16 for CuKα, from DFT lattice parameters and positions (PBE+U).
Peak positions follow from Bragg's law for the DFT cell and can differ from measured ones.

Structure:
```
data_Zn3Fe3As4O16
_chemical_formula_sum 'Zn6 Fe6 As8 O32'
_space_group_name_H-M_alt 'P 1 21/c 1'
_space_group_IT_number 14
_cell_length_a 8.640
_cell_length_b 5.389
_cell_length_c 15.751
_cell_angle_alpha 90.00
_cell_angle_beta 109.17
_cell_angle_gamma 90.00
loop_
_space_group_symop_operation_xyz
'x,y,z'
'-x,-y,-z'
'-x,y+1/2,-z+1/2'
'x,-y+1/2,z+1/2'
loop_
_atom_site_label
_atom_site_fract_x
_atom_site_fract_y
_atom_site_fract_z
Zn1 0.000 0.000 0.000
Zn2 0.273 0.098 0.272
Fe1 0.225 0.549 0.378
Fe2 0.500 0.000 0.500
As1 0.032 0.510 0.144
As2 0.419 0.528 0.606
O1 0.005 0.675 0.623
O2 0.085 0.175 0.572
O3 0.151 0.588 0.841
O4 0.184 0.054 0.747
O5 0.252 0.584 0.512
O6 0.387 0.574 0.705
O7 0.431 0.248 0.395
O8 0.475 0.735 0.404
```

Top 8 peaks for 2θ from 10° to 90°, by angle:
d [Å], 2θ/deg, I_rel
4.204, 21.13, 32
3.679, 24.19, 37
3.367, 26.47, 62
3.165, 28.20, 37
3.066, 29.12, 100
2.718, 32.95, 56
2.694, 33.25, 52
2.488, 36.10, 65